The following is a simulated powder X-ray diffraction pattern of Al. It was derived from the PBE geometry in Alexandria, using a wavelength of 1.5418 Å.
No peak broadening, texture or thermal motion is included.

The 8 most intense peaks (2θ = 10–90°), in order of rising 2θ:
(2 1 1), 36.9°, rel. 100
(2 2 0), 42.9°, rel. 11
(3 1 0), 48.3°, rel. 30
(3 2 1), 57.9°, rel. 17
(4 2 0), 70.7°, rel. 19
(3 3 2), 74.7°, rel. 12
(4 2 2), 78.6°, rel. 4
(5 1 0), 82.5°, rel. 19

Atomic structure:
```
data_Al
_chemical_formula_sum 'Al12'
_space_group_name_H-M_alt 'I -4 3 d'
_space_group_IT_number 220
_space_group_name_Hall 'I -4bd 2c 3'
_cell_length_a 5.9609
_cell_length_b 5.9609
_cell_length_c 5.9609
_cell_angle_alpha 90.00
_cell_angle_beta 90.00
_cell_angle_gamma 90.00
loop_
_atom_site_label
_atom_site_type_symbol
_atom_site_fract_x
_atom_site_fract_y
_atom_site_fract_z
Al1 Al 0.0000 0.2500 0.8750
```